(1)
Structure and calculated powder diffractogram of AgBIr6 (the PBE geometry in OQMD; λ = 1.5418 Å (Cu Kα)).

```
data_AgBIr6
_space_group_name_H-M_alt 'F -4 3 m'
_space_group_IT_number 216
_space_group_name_Hall 'F -4 2 3'
_cell_length_a 8.572
_cell_length_b 8.572
_cell_length_c 8.572
_cell_angle_alpha 90.00
_cell_angle_beta 90.00
_cell_angle_gamma 90.00
loop_
_atom_site_label
_atom_site_type_symbol
_atom_site_fract_x
_atom_site_fract_y
_atom_site_fract_z
_atom_site_occupancy
Ag1 Ag 0.000 0.000 0.000 1
B1 B 0.250 0.250 0.250 1
Ir1 Ir 0.000 0.000 0.291 1
```

Most intense lines, 15° ≤ 2θ ≤ 90°, sorted by position:
2theta  I/Imax  index
17.9  20  1 1 1
20.7  100  2 0 0
36.3  90  2 2 2
42.2  66  4 0 0
46.2  52  3 3 1
47.4  20  4 2 0
55.7  48  3 3 3
61.2  30  4 4 0
79.9  22  5 5 1
87.4  29  7 3 1



(2)
Structure and calculated powder diffractogram of AgB4Ir (the PBE geometry in OQMD; λ = 1.5418 Å (Cu Kα)).

```
data_AgB4Ir
_space_group_name_H-M_alt 'P 6/m m m'
_space_group_IT_number 191
_space_group_name_Hall '-P 6 2'
_cell_length_a 3.0331
_cell_length_b 3.0331
_cell_length_c 7.5893
_cell_angle_alpha 90.00
_cell_angle_beta 90.00
_cell_angle_gamma 120.00
loop_
_atom_site_label
_atom_site_type_symbol
_atom_site_fract_x
_atom_site_fract_y
_atom_site_fract_z
_atom_site_occupancy
Ag1 Ag 0.0000 0.0000 0.0000 1
B1 B 0.3333 0.6667 0.2809 1
Ir1 Ir 0.0000 0.0000 0.5000 1
```

Most intense lines, 15° ≤ 2θ ≤ 90°, sorted by position:
2theta  I/Imax  index
23.4  54  0 0 2
34.1  72  1 0 0
41.8  100  1 0 2
47.9  12  0 0 4
60.2  29  1 0 4
61.1  18  1 1 0
66.4  19  1 1 2
76.8  16  2 0 2
81.2  15  1 1 4
85.1  12  1 0 6



(3)
Structure and calculated powder diffractogram of K2AgBO3 (the PBE geometry in OQMD; λ = 1.5418 Å (Cu Kα)).

```
data_K2AgBO3
_space_group_name_H-M_alt 'C 1 2 1'
_space_group_IT_number 5
_cell_length_a 8.931
_cell_length_b 6.264
_cell_length_c 7.807
_cell_angle_alpha 90.00
_cell_angle_beta 103.19
_cell_angle_gamma 90.00
loop_
_space_group_symop_operation_xyz
'x,y,z'
'-x,y,-z'
'x+1/2,y+1/2,z'
'-x+1/2,y+1/2,-z'
loop_
_atom_site_label
_atom_site_type_symbol
_atom_site_fract_x
_atom_site_fract_y
_atom_site_fract_z
_atom_site_occupancy
K1 K 0.000 0.000 0.000 1
K2 K 0.000 0.218 0.500 1
K3 K 0.175 0.749 0.645 1
Ag1 Ag 0.130 0.449 0.930 1
B1 B 0.158 0.684 0.258 1
O1 O 0.068 0.516 0.298 1
O2 O 0.148 0.886 0.321 1
O3 O 0.232 0.134 0.843 1
```

Most intense lines, 15° ≤ 2θ ≤ 90°, sorted by position:
2theta  I/Imax  index
17.4  61  1 1 0
22.3  57  1 1 1
30.9  100  0 2 1
31.2  66  1 1 2
33.7  79  3 1 -1
34.1  35  3 1 0
36.8  29  2 0 -3
37.3  63  3 1 -2
40.0  47  2 2 -2
46.9  28  1 3 1



(4)
Structure and calculated powder diffractogram of KAg2BO3 (the PBE geometry in OQMD; λ = 1.5418 Å (Cu Kα)).

```
data_KAg2BO3
_space_group_name_H-M_alt 'P m m n'
_space_group_IT_number 59
_cell_length_a 5.475
_cell_length_b 6.239
_cell_length_c 5.875
_cell_angle_alpha 90.00
_cell_angle_beta 90.00
_cell_angle_gamma 90.00
loop_
_space_group_symop_operation_xyz
'x,y,z'
'-x,-y,-z'
'-x+1/2,-y+1/2,z'
'x+1/2,y+1/2,-z'
'x+1/2,-y,-z'
'-x+1/2,y,z'
'-x,y+1/2,-z'
'x,-y+1/2,z'
loop_
_atom_site_label
_atom_site_type_symbol
_atom_site_fract_x
_atom_site_fract_y
_atom_site_fract_z
_atom_site_occupancy
K1 K 0.250 0.250 0.088 1
Ag1 Ag 0.250 0.523 0.604 1
B1 B 0.250 0.750 0.175 1
O1 O 0.032 0.750 0.301 1
O2 O 0.250 0.750 0.943 1
```

Most intense lines, 15° ≤ 2θ ≤ 90°, sorted by position:
2theta  I/Imax  index
15.1  100  0 0 1
22.2  53  1 0 1
32.5  84  0 2 1
32.7  60  2 0 0
34.7  91  1 0 2
36.5  67  1 2 1
44.0  25  2 2 0
45.5  45  1 2 2
46.8  74  2 2 1
58.1  31  1 2 3



(5)
Structure and calculated powder diffractogram of NiAgB (the PBE geometry in OQMD; λ = 1.5418 Å (Cu Kα)).

```
data_NiAgB
_space_group_name_H-M_alt 'F -4 3 m'
_space_group_IT_number 216
_space_group_name_Hall 'F -4 2 3'
_cell_length_a 5.459
_cell_length_b 5.459
_cell_length_c 5.459
_cell_angle_alpha 90.00
_cell_angle_beta 90.00
_cell_angle_gamma 90.00
loop_
_atom_site_label
_atom_site_type_symbol
_atom_site_fract_x
_atom_site_fract_y
_atom_site_fract_z
_atom_site_occupancy
Ni1 Ni 0.000 0.000 0.000 1
Ag1 Ag 0.250 0.250 0.750 1
B1 B 0.250 0.250 0.250 1
```

Most intense lines, 15° ≤ 2θ ≤ 90°, sorted by position:
2theta  I/Imax  index
28.3  100  1 1 1
32.8  10  2 0 0
47.1  81  2 2 0
55.9  43  3 1 1
58.6  2  2 2 2
68.8  12  4 0 0
76.0  16  3 3 1
78.3  3  4 2 0
87.6  25  4 2 2



(6)
Structure and calculated powder diffractogram of Ag3BO3 (the PBE geometry in OQMD; λ = 1.5418 Å (Cu Kα)).

```
data_Ag3BO3
_space_group_name_H-M_alt 'R -3 c'
_space_group_IT_number 167
_space_group_name_Hall '-R 3 2"c'
_cell_length_a 9.9955
_cell_length_b 9.9955
_cell_length_c 13.3295
_cell_angle_alpha 90.00
_cell_angle_beta 90.00
_cell_angle_gamma 120.00
loop_
_atom_site_label
_atom_site_type_symbol
_atom_site_fract_x
_atom_site_fract_y
_atom_site_fract_z
_atom_site_occupancy
Ag1 Ag 0.0009 0.4953 0.1238 1
B1 B 0.0000 0.0000 0.1240 1
O1 O 0.0070 0.1416 0.1236 1
```

Most intense lines, 15° ≤ 2θ ≤ 90°, sorted by position:
2theta  I/Imax  index
17.7  26  1 1 0
31.0  13  3 0 0
34.0  100  0 2 4
35.9  70  2 2 0
38.6  13  2 1 4
50.3  27  4 0 4
59.4  18  2 0 8
63.3  26  2 4 4
64.6  15  6 0 0
86.1  13  6 2 4



(7)
Structure and calculated powder diffractogram of Ag2B2O5 (the PBE geometry in OQMD; λ = 1.5418 Å (Cu Kα)).

```
data_Ag2B2O5
_space_group_name_H-M_alt 'P 4/m m m'
_space_group_IT_number 123
_space_group_name_Hall '-P 4 2'
_cell_length_a 3.321
_cell_length_b 3.321
_cell_length_c 7.328
_cell_angle_alpha 90.00
_cell_angle_beta 90.00
_cell_angle_gamma 90.00
loop_
_atom_site_label
_atom_site_type_symbol
_atom_site_fract_x
_atom_site_fract_y
_atom_site_fract_z
_atom_site_occupancy
Ag1 Ag 0.000 0.000 0.000 1
Ag2 Ag 0.000 0.000 0.500 1
B1 B 0.500 0.500 0.202 1
O1 O 0.000 0.500 0.270 1
O2 O 0.500 0.500 0.000 1
```

Most intense lines, 15° ≤ 2θ ≤ 90°, sorted by position:
2theta  I/Imax  index
24.3  37  0 0 2
26.8  83  1 0 0
36.5  100  1 0 2
38.3  33  1 1 0
45.9  86  1 1 2
49.8  18  0 0 4
55.3  28  2 0 0
57.4  22  1 0 4
68.1  30  2 1 2
77.6  17  2 0 4



(8)
Structure and calculated powder diffractogram of AgBO2 (the PBE geometry in OQMD; λ = 1.5418 Å (Cu Kα)).

```
data_AgBO2
_space_group_name_H-M_alt 'C 1 c 1'
_space_group_IT_number 9
_cell_length_a 4.294
_cell_length_b 12.266
_cell_length_c 4.431
_cell_angle_alpha 90.00
_cell_angle_beta 100.87
_cell_angle_gamma 90.00
loop_
_space_group_symop_operation_xyz
'x,y,z'
'x,-y,z+1/2'
'x+1/2,y+1/2,z'
'x+1/2,-y+1/2,z+1/2'
loop_
_atom_site_label
_atom_site_type_symbol
_atom_site_fract_x
_atom_site_fract_y
_atom_site_fract_z
_atom_site_occupancy
Ag1 Ag 0.000 0.237 0.000 1
B1 B 0.348 0.450 0.894 1
O1 O 0.231 0.355 0.770 1
O2 O 0.409 0.463 0.213 1
```

Most intense lines, 15° ≤ 2θ ≤ 90°, sorted by position:
2theta  I/Imax  index
22.3  28  1 1 0
27.5  100  1 1 -1
29.1  50  0 4 0
33.1  98  1 1 1
34.5  81  1 3 -1
39.2  49  1 3 1
44.2  39  0 2 2
45.5  28  2 2 0
45.8  34  1 5 -1
52.7  24  2 4 0



Question: What is the formula in the first record?
Answer: AgBIr6